Diffraction record for Bi3Te4Cl5O10. The X-ray powder pattern is theoretical, not measured: it uses a structure optimized by DFT (PBE) and Cu Kα (weighted mean of Kα1 and Kα2).

Structural model:
Lattice parameters (Å, degrees): 8.059 8.059 13.455 96.07 96.07 29.58
Atoms (fractional coordinates):
Bi  0.000  0.000  0.000
Bi  0.213  0.213  0.805
Bi  0.787  0.787  0.195
Te  0.162  0.162  0.505
Te  0.474  0.474  0.228
Te  0.526  0.526  0.772
Te  0.838  0.838  0.495
Cl  0.159  0.159  0.276
Cl  0.174  0.174  0.023
Cl  0.500  0.500  0.500
Cl  0.826  0.826  0.977
Cl  0.841  0.841  0.724
O  0.057  0.057  0.804
O  0.162  0.162  0.643
O  0.292  0.292  0.501
O  0.349  0.349  0.199
O  0.489  0.489  0.901
O  0.511  0.511  0.099
O  0.651  0.651  0.801
O  0.708  0.708  0.499
O  0.838  0.838  0.357
O  0.943  0.943  0.196

Peak list (10 most intense, 10° ≤ 2θ ≤ 90°, low angle first)
13.82 deg, I = 100
26.40 deg, I = 73
26.66 deg, I = 75
27.72 deg, I = 84
28.08 deg, I = 79
34.59 deg, I = 54
35.51 deg, I = 79
37.44 deg, I = 49
44.02 deg, I = 51
47.31 deg, I = 57